For La2PrCdSe5, a cell relaxed with PBE gives the calculated powder XRD pattern in this record (CuKα).

Top 12 peaks for 2θ from 10° to 80°, in order of rising 2θ:
2θ 22.98, I 15.8; 2θ 25.74, I 35.7; 2θ 30.14, I 100.0; 2θ 30.47, I 58.8; 2θ 32.61, I 10.9; 2θ 35.54, I 57.5; 2θ 38.25, I 13.7; 2θ 38.96, I 26.2; 2θ 42.85, I 32.2; 2θ 43.41, I 30.0; 2θ 46.41, I 19.0; 2θ 53.48, I 23.6

Structural model:
```
data_La2PrCdSe5
_chemical_formula_sum 'La8 Pr4 Cd4 Se20'
_space_group_name_H-M_alt 'C m c 21'
_space_group_IT_number 36
_cell_length_a 4.221
_cell_length_b 18.083
_cell_length_c 12.848
_cell_angle_alpha 90.00
_cell_angle_beta 90.00
_cell_angle_gamma 90.00
loop_
_space_group_symop_operation_xyz
'x,y,z'
'-x,-y,z+1/2'
'-x,y,z'
'x,-y,z+1/2'
'x+1/2,y+1/2,z'
'-x+1/2,-y+1/2,z+1/2'
'-x+1/2,y+1/2,z'
'x+1/2,-y+1/2,z+1/2'
loop_
_atom_site_label
_atom_site_type_symbol
_atom_site_fract_x
_atom_site_fract_y
_atom_site_fract_z
La1 La 0.000 0.116 0.000
La2 La 0.000 0.132 0.621
Pr1 Pr 0.000 0.202 0.323
Cd1 Cd 0.000 0.459 0.771
Se1 Se 0.000 0.044 0.390
Se2 Se 0.000 0.289 0.988
Se3 Se 0.000 0.315 0.659
Se4 Se 0.000 0.364 0.315
Se5 Se 0.000 0.494 0.082
```

=====

For GaSn2Au2, a cell relaxed with PBE gives the calculated powder XRD pattern in this record (CuKα).

Top 12 peaks for 2θ from 10° to 80°, in order of rising 2θ:
2θ 20.49, I 52.4; 2θ 23.84, I 50.7; 2θ 24.55, I 53.3; 2θ 30.64, I 55.3; 2θ 33.85, I 22.1; 2θ 35.62, I 19.4; 2θ 41.26, I 100.0; 2θ 41.49, I 49.5; 2θ 42.79, I 48.4; 2θ 47.35, I 22.3; 2θ 48.80, I 17.3; 2θ 75.53, I 17.4

Structural model:
```
data_GaSn2Au2
_chemical_formula_sum 'Ga4 Sn8 Au8'
_space_group_name_H-M_alt 'C m c 21'
_space_group_IT_number 36
_cell_length_a 4.353
_cell_length_b 13.230
_cell_length_c 8.670
_cell_angle_alpha 90.00
_cell_angle_beta 90.00
_cell_angle_gamma 90.00
loop_
_space_group_symop_operation_xyz
'x,y,z'
'-x,-y,z+1/2'
'-x,y,z'
'x,-y,z+1/2'
'x+1/2,y+1/2,z'
'-x+1/2,-y+1/2,z+1/2'
'-x+1/2,y+1/2,z'
'x+1/2,-y+1/2,z+1/2'
loop_
_atom_site_label
_atom_site_type_symbol
_atom_site_fract_x
_atom_site_fract_y
_atom_site_fract_z
Ga1 Ga 0.000 0.141 0.000
Sn1 Sn 0.000 0.069 0.303
Sn2 Sn 0.000 0.376 0.086
Au1 Au 0.000 0.244 0.486
Au2 Au 0.000 0.451 0.391
```

=====

For Pu3Tc3Ge8, a cell relaxed with PBE gives the calculated powder XRD pattern in this record (CuKα).

Top 12 peaks for 2θ from 10° to 80°, in order of rising 2θ:
2θ 22.58, I 13.3; 2θ 23.88, I 15.5; 2θ 30.65, I 26.2; 2θ 33.57, I 36.1; 2θ 34.49, I 24.4; 2θ 34.95, I 12.5; 2θ 35.39, I 100.0; 2θ 42.40, I 29.1; 2θ 45.36, I 15.0; 2θ 55.76, I 12.7; 2θ 62.97, I 11.9; 2θ 73.02, I 13.3

Structural model:
```
data_Pu3Tc3Ge8
_chemical_formula_sum 'Pu6 Tc6 Ge16'
_space_group_name_H-M_alt 'I m m m'
_space_group_IT_number 71
_space_group_name_Hall '-I 2 2'
_cell_length_a 4.264
_cell_length_b 10.270
_cell_length_c 11.995
_cell_angle_alpha 90.00
_cell_angle_beta 90.00
_cell_angle_gamma 90.00
loop_
_atom_site_label
_atom_site_type_symbol
_atom_site_fract_x
_atom_site_fract_y
_atom_site_fract_z
Pu1 Pu 0.000 0.000 0.000
Pu2 Pu 0.000 0.000 0.329
Tc1 Tc 0.000 0.221 0.500
Tc2 Tc 0.000 0.500 0.000
Ge1 Ge 0.000 0.290 0.122
Ge2 Ge 0.000 0.374 0.334
```

=====

For TaSiOsSe2, a cell relaxed with PBE gives the calculated powder XRD pattern in this record (CuKα).

Top 12 peaks for 2θ from 10° to 80°, in order of rising 2θ:
2θ 19.73, I 11.1; 2θ 27.07, I 19.4; 2θ 33.72, I 100.0; 2θ 38.66, I 42.9; 2θ 40.08, I 19.4; 2θ 43.76, I 6.4; 2θ 49.03, I 8.0; 2θ 55.82, I 14.8; 2θ 56.90, I 27.9; 2θ 66.82, I 27.9; 2θ 68.77, I 12.8; 2θ 70.91, I 14.5

Structural model:
```
data_TaSiOsSe2
_chemical_formula_sum 'Ta1 Si1 Os1 Se2'
_space_group_name_H-M_alt 'P 4/m m m'
_space_group_IT_number 123
_space_group_name_Hall '-P 4 2'
_cell_length_a 4.658
_cell_length_b 4.658
_cell_length_c 4.500
_cell_angle_alpha 90.00
_cell_angle_beta 90.00
_cell_angle_gamma 90.00
loop_
_atom_site_label
_atom_site_type_symbol
_atom_site_fract_x
_atom_site_fract_y
_atom_site_fract_z
Ta1 Ta 0.000 0.000 0.000
Si1 Si 0.500 0.500 0.500
Os1 Os 0.500 0.500 0.000
Se1 Se 0.000 0.500 0.500
```

=====

For Zr10Sb3Pb3, a cell relaxed with PBE gives the calculated powder XRD pattern in this record (CuKα).

Top 12 peaks for 2θ from 10° to 80°, in order of rising 2θ:
2θ 11.91, I 17.4; 2θ 20.70, I 15.7; 2θ 25.76, I 27.4; 2θ 30.63, I 28.5; 2θ 31.85, I 19.7; 2θ 35.46, I 100.0; 2θ 36.25, I 59.8; 2θ 37.26, I 78.0; 2θ 46.73, I 30.8; 2θ 52.96, I 15.5; 2θ 57.63, I 24.3; 2θ 71.17, I 18.9

Structural model:
```
data_Zr10Sb3Pb3
_chemical_formula_sum 'Zr10 Sb3 Pb3'
_space_group_name_H-M_alt 'P -6 2 m'
_space_group_IT_number 189
_space_group_name_Hall 'P -6 -2'
_cell_length_a 8.5838
_cell_length_b 8.5838
_cell_length_c 5.8371
_cell_angle_alpha 90.00
_cell_angle_beta 90.00
_cell_angle_gamma 120.00
loop_
_atom_site_label
_atom_site_type_symbol
_atom_site_fract_x
_atom_site_fract_y
_atom_site_fract_z
Zr1 Zr 0.0000 0.2511 0.0000
Zr2 Zr 0.0000 0.7490 0.5000
Zr3 Zr 0.3333 0.6667 0.2523
Sb1 Sb 0.0000 0.3876 0.5000
Pb1 Pb 0.0000 0.6103 0.0000
```

=====

For Nd4Rh2Br5, a cell relaxed with PBE gives the calculated powder XRD pattern in this record (CuKα).

Top 12 peaks for 2θ from 10° to 80°, in order of rising 2θ:
2θ 21.08, I 48.2; 2θ 24.13, I 27.3; 2θ 25.47, I 26.9; 2θ 27.25, I 88.6; 2θ 28.78, I 100.0; 2θ 30.74, I 92.3; 2θ 37.21, I 31.4; 2θ 38.06, I 43.8; 2θ 46.00, I 57.8; 2θ 46.91, I 27.6; 2θ 48.39, I 63.3; 2θ 57.26, I 28.2

Structural model:
```
data_Nd4Rh2Br5
_chemical_formula_sum 'Nd8 Rh4 Br10'
_space_group_name_H-M_alt 'I m m m'
_space_group_IT_number 71
_space_group_name_Hall '-I 2 2'
_cell_length_a 3.764
_cell_length_b 9.456
_cell_length_c 18.608
_cell_angle_alpha 90.00
_cell_angle_beta 90.00
_cell_angle_gamma 90.00
loop_
_atom_site_label
_atom_site_type_symbol
_atom_site_fract_x
_atom_site_fract_y
_atom_site_fract_z
Nd1 Nd 0.000 0.000 0.174
Nd2 Nd 0.000 0.290 0.500
Rh1 Rh 0.000 0.000 0.305
Br1 Br 0.000 0.250 0.343
Br2 Br 0.000 0.500 0.000
```

=====

For Pm4Ho2Er, a cell relaxed with PBE gives the calculated powder XRD pattern in this record (CuKα).

Top 12 peaks for 2θ from 10° to 80°, in order of rising 2θ:
2θ 28.65, I 16.2; 2θ 30.33, I 100.0; 2θ 30.89, I 31.4; 2θ 31.57, I 62.4; 2θ 32.30, I 33.8; 2θ 32.45, I 25.0; 2θ 33.52, I 10.2; 2θ 37.22, I 26.0; 2θ 50.66, I 19.8; 2θ 55.45, I 20.1; 2θ 58.98, I 11.0; 2θ 60.92, I 14.0

Structural model:
```
data_Pm4Ho2Er
_chemical_formula_sum 'Pm32 Ho16 Er8'
_space_group_name_H-M_alt 'F d d 2'
_space_group_IT_number 43
_space_group_name_Hall 'F 2 -2d'
_cell_length_a 11.929
_cell_length_b 24.152
_cell_length_c 6.441
_cell_angle_alpha 90.00
_cell_angle_beta 90.00
_cell_angle_gamma 90.00
loop_
_atom_site_label
_atom_site_type_symbol
_atom_site_fract_x
_atom_site_fract_y
_atom_site_fract_z
Pm1 Pm 0.053 0.430 0.000
Pm2 Pm 0.070 0.356 0.468
Ho1 Ho 0.025 0.285 0.943
Er1 Er 0.000 0.000 0.005
```